# 1
This entry pairs a crystal structure of K2LaP2Se7 with its computed X-ray diffraction stick pattern. Radiation: copper Kα. Structure: a cell relaxed with GGA-PBE.
Kinematic intensities with the Lorentz-polarization factor, no thermal factor.

Most intense lines, 2θ = 5–70°, low angle first:
d [Å]  I (rel.)
9.099  51
8.357  100
6.936  71
5.822  56
3.359  78
3.015  80
3.001  87
2.911  87
2.857  89
2.542  63

Cell and atoms:
```
data_K2LaP2Se7
_cell_length_a 9.614
_cell_length_b 7.343
_cell_length_c 22.329
_cell_angle_alpha 90.00
_cell_angle_beta 108.84
_cell_angle_gamma 90.00
_symmetry_space_group_name_H-M 'P 1 21/c 1'
_symmetry_Int_Tables_number 14
loop_
_symmetry_equiv_pos_as_xyz
'x,y,z'
'-x,-y,-z'
'-x,y+1/2,-z+1/2'
'x,-y+1/2,z+1/2'
loop_
_atom_site_label
_atom_site_type_symbol
_atom_site_fract_x
_atom_site_fract_y
_atom_site_fract_z
K1 K 0.158 0.049 0.317
K2 K 0.247 0.510 0.491
La1 La 0.345 0.029 0.650
P1 P 0.038 0.011 0.457
P2 P 0.426 0.516 0.330
Se1 Se 0.043 0.236 0.600
Se2 Se 0.077 0.749 0.097
Se3 Se 0.209 0.033 0.756
Se4 Se 0.278 0.044 0.497
Se5 Se 0.413 0.088 0.220
Se6 Se 0.421 0.747 0.892
Se7 Se 0.487 0.223 0.895
```

# 2
This entry pairs a crystal structure of Cs2NaTiF6 with its computed X-ray diffraction stick pattern. Radiation: copper Kα. Structure: a cell relaxed with GGA-PBE.
Kinematic intensities with the Lorentz-polarization factor, no thermal factor.

Most intense lines, 2θ = 5–70°, low angle first:
d [Å]  I (rel.)
4.150  33
3.483  52
3.195  100
2.616  12
2.531  30
2.354  44
2.260  12
1.895  14
1.844  26
1.597  18

Cell and atoms:
```
data_Cs2NaTiF6
_cell_length_a 6.3868
_cell_length_b 6.3868
_cell_length_c 31.3884
_cell_angle_alpha 90.00
_cell_angle_beta 90.00
_cell_angle_gamma 120.00
_symmetry_space_group_name_H-M 'R -3 m'
_symmetry_Int_Tables_number 166
_symmetry_space_group_name_Hall '-R 3 2"'
loop_
_atom_site_label
_atom_site_type_symbol
_atom_site_fract_x
_atom_site_fract_y
_atom_site_fract_z
Cs1 Cs 0.0000 0.0000 0.1280
Cs2 Cs 0.0000 0.0000 0.2816
Na1 Na 0.0000 0.0000 0.4028
Ti1 Ti 0.0000 0.0000 0.0000
Ti2 Ti 0.0000 0.0000 0.5000
F1 F 0.0359 0.5179 0.7035
F2 F 0.0469 0.5234 0.1279
```

# 3
This entry pairs a crystal structure of MgB12C2 with its computed X-ray diffraction stick pattern. Radiation: copper Kα. Structure: a cell relaxed with GGA-PBE.
Kinematic intensities with the Lorentz-polarization factor, no thermal factor.

Most intense lines, 2θ = 5–70°, low angle first:
d [Å]  I (rel.)
3.351  72
3.027  20
2.808  22
2.437  100
2.303  41
2.151  100
2.058  53
1.907  25
1.680  19
1.528  36

Cell and atoms:
```
data_MgB12C2
_cell_length_a 5.615
_cell_length_b 9.822
_cell_length_c 7.937
_cell_angle_alpha 90.00
_cell_angle_beta 90.00
_cell_angle_gamma 90.00
_symmetry_space_group_name_H-M 'I m m a'
_symmetry_Int_Tables_number 74
_symmetry_space_group_name_Hall '-I 2b 2'
loop_
_atom_site_label
_atom_site_type_symbol
_atom_site_fract_x
_atom_site_fract_y
_atom_site_fract_z
Mg1 Mg 0.000 0.250 0.139
B1 B 0.000 0.094 0.682
B2 B 0.000 0.167 0.479
B3 B 0.162 0.064 0.340
B4 B 0.239 0.085 0.948
C1 C 0.000 0.162 0.871
```

# 4
This entry pairs a crystal structure of AlBi3Se2ClO8 with its computed X-ray diffraction stick pattern. Radiation: copper Kα. Structure: a cell relaxed with GGA-PBE.
Kinematic intensities with the Lorentz-polarization factor, no thermal factor.

Most intense lines, 2θ = 5–70°, low angle first:
d [Å]  I (rel.)
6.993  61
6.213  21
3.530  37
3.496  21
3.106  49
2.839  100
2.821  34
2.260  20
2.044  22
2.025  26

Cell and atoms:
```
data_AlBi3Se2ClO8
_cell_length_a 8.178
_cell_length_b 9.553
_cell_length_c 6.993
_cell_angle_alpha 90.00
_cell_angle_beta 90.00
_cell_angle_gamma 90.00
_symmetry_space_group_name_H-M 'P m m n'
_symmetry_Int_Tables_number 59
loop_
_symmetry_equiv_pos_as_xyz
'x,y,z'
'-x,-y,-z'
'-x+1/2,-y+1/2,z'
'x+1/2,y+1/2,-z'
'x+1/2,-y,-z'
'-x+1/2,y,z'
'-x,y+1/2,-z'
'x,-y+1/2,z'
loop_
_atom_site_label
_atom_site_type_symbol
_atom_site_fract_x
_atom_site_fract_y
_atom_site_fract_z
Al1 Al 0.250 0.250 0.179
Bi1 Bi 0.000 0.000 0.500
Bi2 Bi 0.250 0.250 0.650
Se1 Se 0.250 0.560 0.954
Cl1 Cl 0.250 0.750 0.421
O1 O 0.084 0.580 0.808
O2 O 0.250 0.110 0.360
O3 O 0.250 0.127 0.974
```

# 5
This entry pairs a crystal structure of KTbHS2O8 with its computed X-ray diffraction stick pattern. Radiation: copper Kα. Structure: a cell relaxed with GGA-PBE.
Kinematic intensities with the Lorentz-polarization factor, no thermal factor.

Most intense lines, 2θ = 5–70°, low angle first:
d [Å]  I (rel.)
6.252  100
4.400  23
3.952  9
3.942  13
3.341  38
3.134  22
3.120  13
3.104  27
2.791  12
1.972  9

Cell and atoms:
```
data_KTbHS2O8
_cell_length_a 10.128
_cell_length_b 8.824
_cell_length_c 10.220
_cell_angle_alpha 90.00
_cell_angle_beta 119.61
_cell_angle_gamma 90.00
_symmetry_space_group_name_H-M 'P 1 21/c 1'
_symmetry_Int_Tables_number 14
loop_
_symmetry_equiv_pos_as_xyz
'x,y,z'
'-x,-y,-z'
'-x,y+1/2,-z+1/2'
'x,-y+1/2,z+1/2'
loop_
_atom_site_label
_atom_site_type_symbol
_atom_site_fract_x
_atom_site_fract_y
_atom_site_fract_z
K1 K 0.214 0.183 0.191
Tb1 Tb 0.254 0.625 0.037
H1 H 0.334 0.574 0.552
S1 S 0.059 0.633 0.186
S2 S 0.498 0.699 0.896
O1 O 0.062 0.746 0.078
O2 O 0.093 0.705 0.330
O3 O 0.097 0.065 0.379
O4 O 0.172 0.515 0.204
O5 O 0.360 0.620 0.883
O6 O 0.403 0.086 0.622
O7 O 0.422 0.219 0.962
O8 O 0.446 0.695 0.265
```

# 6
This entry pairs a crystal structure of LiTiPt2 with its computed X-ray diffraction stick pattern. Radiation: copper Kα. Structure: a cell relaxed with GGA-PBE.
Kinematic intensities with the Lorentz-polarization factor, no thermal factor.

Most intense lines, 2θ = 5–70°, low angle first:
d [Å]  I (rel.)
3.560  3
3.083  74
2.180  100
1.859  1
1.780  21
1.542  17
1.379  28

Cell and atoms:
```
data_LiTiPt2
_cell_length_a 6.167
_cell_length_b 6.167
_cell_length_c 6.167
_cell_angle_alpha 90.00
_cell_angle_beta 90.00
_cell_angle_gamma 90.00
_symmetry_space_group_name_H-M 'F m -3 m'
_symmetry_Int_Tables_number 225
_symmetry_space_group_name_Hall '-F 4 2 3'
loop_
_atom_site_label
_atom_site_type_symbol
_atom_site_fract_x
_atom_site_fract_y
_atom_site_fract_z
Li1 Li 0.000 0.000 0.000
Ti1 Ti 0.000 0.000 0.500
Pt1 Pt 0.250 0.250 0.250
```

# 7
This entry pairs a crystal structure of Ba2Y with its computed X-ray diffraction stick pattern. Radiation: copper Kα. Structure: a cell relaxed with GGA-PBE.
Kinematic intensities with the Lorentz-polarization factor, no thermal factor.

Most intense lines, 2θ = 5–70°, low angle first:
d [Å]  I (rel.)
16.673  18
4.325  16
4.061  15
3.217  100
3.084  54
2.181  20
1.885  12
1.805  37
1.727  10
1.379  9

Cell and atoms:
```
data_Ba2Y
_cell_length_a 4.362
_cell_length_b 4.362
_cell_length_c 33.345
_cell_angle_alpha 90.00
_cell_angle_beta 90.00
_cell_angle_gamma 90.00
_symmetry_space_group_name_H-M 'I 4 m m'
_symmetry_Int_Tables_number 107
_symmetry_space_group_name_Hall 'I 4 -2'
loop_
_atom_site_label
_atom_site_type_symbol
_atom_site_fract_x
_atom_site_fract_y
_atom_site_fract_z
Ba1 Ba 0.000 0.000 0.000
Ba2 Ba 0.000 0.000 0.124
Ba3 Ba 0.000 0.000 0.264
Ba4 Ba 0.000 0.000 0.401
Y1 Y 0.000 0.000 0.699
Y2 Y 0.000 0.000 0.828
```

# 8
This entry pairs a crystal structure of Ba2EuBiO6 with its computed X-ray diffraction stick pattern. Radiation: copper Kα. Structure: a cell relaxed with GGA-PBE.
Kinematic intensities with the Lorentz-polarization factor, no thermal factor.

Most intense lines, 2θ = 5–70°, low angle first:
d [Å]  I (rel.)
5.081  2
4.400  5
3.112  100
2.654  1
2.200  28
1.968  3
1.796  43
1.556  18
1.467  1
1.392  19

Cell and atoms:
```
data_Ba2EuBiO6
_cell_length_a 8.801
_cell_length_b 8.801
_cell_length_c 8.801
_cell_angle_alpha 90.00
_cell_angle_beta 90.00
_cell_angle_gamma 90.00
_symmetry_space_group_name_H-M 'P n -3'
_symmetry_Int_Tables_number 201
loop_
_symmetry_equiv_pos_as_xyz
'x,y,z'
'-x,-y,-z'
'-x+1/2,-y+1/2,z'
'x+1/2,y+1/2,-z'
'x,-y+1/2,-z+1/2'
'-x,y+1/2,z+1/2'
'-x+1/2,y,-z+1/2'
'x+1/2,-y,z+1/2'
'z,x,y'
'-z,-x,-y'
'z,-x+1/2,-y+1/2'
'-z,x+1/2,y+1/2'
'-z+1/2,x,-y+1/2'
'z+1/2,-x,y+1/2'
'-z+1/2,-x+1/2,y'
'z+1/2,x+1/2,-y'
'y,z,x'
'-y,-z,-x'
'-y+1/2,z,-x+1/2'
'y+1/2,-z,x+1/2'
'-y+1/2,-z+1/2,x'
'y+1/2,z+1/2,-x'
'y,-z+1/2,-x+1/2'
'-y,z+1/2,x+1/2'
loop_
_atom_site_label
_atom_site_type_symbol
_atom_site_fract_x
_atom_site_fract_y
_atom_site_fract_z
Ba1 Ba 0.250 0.250 0.250
Ba2 Ba 0.250 0.250 0.750
Eu1 Eu 0.000 0.000 0.000
Bi1 Bi 0.000 0.000 0.500
O1 O 0.021 0.523 0.758
```